Entry 1:
Diffraction record for RbRe3Br10. The powder diffraction line list is computed, not measured: it uses a GGA-PBE-relaxed structure and Cu Kα (λ = 1.5418 Å).
No peak broadening, texture or thermal motion is included.

Principal peaks in the range 2θ = 5–70°, sorted by position:
d_spacing, two_theta, Rel. int.
7.756, 11.41, 68
6.969, 12.70, 42
6.808, 13.00, 100
2.994, 29.84, 27
2.356, 38.20, 25
2.290, 39.34, 24

Cell and atoms:
```
RbRe3Br10
1.0
7.7626 -5.5450 0.0000
7.7626 5.5450 0.0000
-0.4332 0.0000 10.6619
Rb Re Br
2 6 20
Direct
0.2109 0.7891 0.0000
0.7891 0.2109 0.0000
0.1870 0.4085 0.6267
0.2384 0.2384 0.8060
0.4085 0.1870 0.6267
0.5915 0.8130 0.3733
0.7616 0.7616 0.1940
0.8130 0.5915 0.3733
0.0023 0.3247 0.4968
0.0075 0.4709 0.8105
0.0824 0.0824 0.7380
0.1612 0.1612 0.0344
0.2900 0.6016 0.7004
0.3247 0.0023 0.4968
0.3565 0.3565 0.4367
0.3673 0.3673 0.9542
0.3984 0.7100 0.2996
0.4709 0.0075 0.8105
0.5291 0.9925 0.1895
0.6016 0.2900 0.7004
0.6327 0.6327 0.0458
0.6435 0.6435 0.5633
0.6753 0.9977 0.5032
0.7100 0.3984 0.2996
0.8388 0.8388 0.9656
0.9176 0.9176 0.2620
0.9925 0.5291 0.1895
0.9977 0.6753 0.5032
```



Entry 2:
Diffraction record for LiAlSi2O6. The powder diffraction line list is computed, not measured: it uses a GGA-PBE-relaxed structure and Cu Kα (λ = 1.5418 Å).
No peak broadening, texture or thermal motion is included.

Principal peaks in the range 2θ = 5–70°, sorted by position:
d_spacing, two_theta, Rel. int.
4.582, 19.37, 5
4.556, 19.49, 6
3.526, 25.26, 100
1.915, 47.48, 8
1.909, 47.63, 13
1.438, 64.85, 7

Cell and atoms:
```
LiAlSi2O6
1.0
2.6502 -4.5556 0.0000
2.6502 4.5556 0.0000
0.0000 0.0000 5.5406
Li Al Si O
1 1 2 6
Direct
0.0000 0.0000 0.0000
0.5000 0.5000 0.0000
0.0000 0.5000 0.3326
0.5000 0.0000 0.6674
0.1764 0.3846 0.1653
0.2272 0.7728 0.5000
0.3846 0.1764 0.8347
0.6154 0.8236 0.8347
0.7728 0.2272 0.5000
0.8236 0.6154 0.1653
```